This entry pairs a crystal structure of LiMnP3H10O14 with its calculated powder X-ray diffraction pattern. Radiation: a wavelength of 1.5418 Å. Structure: a DFT-relaxed cell (PBE+U, Alexandria).

Cell and atoms:
Cell: 7.3465 9.9962 10.0571 Å, 61.94 70.31 86.39°
Space group P-1 (No. 2)
Unique sites:
Li (0.1304, 0.3218, 0.3182) [2 per cell]
Mn (0.4447, 0.2878, 0.8081) [2 per cell]
P (0.0092, 0.1354, 0.1541) [2 per cell]
P (0.0926, 0.2026, 0.6917) [2 per cell]
P (0.1657, 0.6757, 0.0977) [2 per cell]
H (0.1801, 0.0431, 0.3760) [2 per cell]
H (0.1865, 0.6380, 0.4426) [2 per cell]
H (0.1958, 0.5129, 0.7881) [2 per cell]
H (0.2131, 0.9237, 0.5303) [2 per cell]
H (0.2934, 0.4864, 0.5042) [2 per cell]
H (0.3662, 0.9813, 0.1161) [2 per cell]
H (0.4011, 0.9357, 0.2771) [2 per cell]
H (0.4036, 0.5831, 0.7723) [2 per cell]
H (0.4111, 0.1854, 0.3187) [2 per cell]
H (0.4806, 0.3036, 0.1345) [2 per cell]
O (0.0086, 0.1606, 0.2912) [2 per cell]
O (0.0233, 0.2475, 0.5535) [2 per cell]
O (0.0499, 0.5217, 0.2087) [2 per cell]
O (0.0857, 0.7979, 0.1593) [2 per cell]
O (0.1235, 0.0240, 0.7716) [2 per cell]
O (0.1258, 0.7463, 0.9292) [2 per cell]
O (0.2022, 0.1405, 0.0353) [2 per cell]
O (0.2744, 0.2901, 0.6613) [2 per cell]
O (0.2865, 0.9959, 0.4164) [2 per cell]
O (0.3053, 0.5905, 0.4148) [2 per cell]
O (0.3230, 0.4906, 0.8013) [2 per cell]
O (0.3837, 0.6899, 0.0532) [2 per cell]
O (0.4217, 0.2958, 0.2431) [2 per cell]
O (0.4486, 0.9234, 0.1786) [2 per cell]

Peak list (10 most intense, 2θ = 10–90°, most intense first)
2θ/deg  d [Å]  Rel. int.  h k l
10.6  8.334  100  0 1 1
17.8  4.972  49  0 2 1
27.3  3.267  32  2 0 2
20.3  4.381  26  0 2 0
26.2  3.402  22  -1 1 2
32.3  2.770  21  -1 3 2
21.4  4.158  20  0 0 2
27.6  3.235  19  -1 2 2
12.9  6.871  17  1 0 0
25.6  3.486  17  2 1 1